Entry 1:
Structure and calculated powder diffractogram of Cr2FePdO8 (a cell relaxed with PBE+U; Cu Ka).
No peak broadening, texture or thermal motion is included.

Most intense lines, 2θ = 10–80°, sorted by position:
4.484 Å, I 129; 3.185 Å, I 798; 3.157 Å, I 755; 2.501 Å, I 1000; 2.242 Å, I 208; 2.180 Å, I 192; 1.674 Å, I 488; 1.665 Å, I 456; 1.506 Å, I 129; 1.339 Å, I 303

Atomic structure:
a = 6.3134 Å, b = 6.3710 Å, c = 6.0259 Å
α = 90.00°, β = 90.00°, γ = 90.00°
Space group Cmmm (No. 65)
Unique sites:
Cr (0.0000, 0.0000, 0.2452) (multiplicity 4)
Fe (0.0000, 0.5000, 0.0000) (multiplicity 2)
Pd (0.0000, 0.5000, 0.5000) (multiplicity 2)
O (0.0000, 0.1886, 0.5000) (multiplicity 4)
O (0.0000, 0.1948, 0.0000) (multiplicity 4)
O (0.1998, 0.5000, 0.2421) (multiplicity 8)


Entry 2:
Structure and calculated powder diffractogram of RbCrFeO4 (a cell relaxed with PBE+U; Cu Ka).
No peak broadening, texture or thermal motion is included.

Most intense lines, 2θ = 10–80°, sorted by position:
7.067 Å, I 575; 3.229 Å, I 900; 3.190 Å, I 711; 2.951 Å, I 1000; 2.682 Å, I 717; 2.401 Å, I 580; 2.326 Å, I 283; 2.214 Å, I 318; 2.054 Å, I 391; 1.671 Å, I 357

Atomic structure:
a = 5.5252 Å, b = 5.3649 Å, c = 7.1454 Å
α = 90.00°, β = 98.48°, γ = 90.00°
Space group P2_1/m (No. 11)
Unique sites:
Rb (0.1783, 0.2500, 0.0933) (multiplicity 2)
Cr (0.1459, 0.7500, 0.4615) (multiplicity 2)
Fe (0.3878, 0.2500, 0.6436) (multiplicity 2)
O (0.1143, 0.0160, 0.6533) (multiplicity 4)
O (0.2873, 0.7500, 0.2296) (multiplicity 2)
O (0.4772, 0.7500, 0.5826) (multiplicity 2)


Entry 3:
Structure and calculated powder diffractogram of CrFe2RhO6 (a cell relaxed with PBE+U; Cu Ka).
No peak broadening, texture or thermal motion is included.

Most intense lines, 2θ = 10–80°, sorted by position:
4.335 Å, I 343; 2.653 Å, I 440; 2.645 Å, I 1000; 2.633 Å, I 918; 2.587 Å, I 434; 1.880 Å, I 216; 1.852 Å, I 402; 1.527 Å, I 271; 1.507 Å, I 232; 1.500 Å, I 257

Atomic structure:
a = 5.1741 Å, b = 5.3050 Å, c = 9.1026 Å
α = 90.00°, β = 124.28°, γ = 90.00°
Space group P2_1/c (No. 14)
Unique sites:
Cr (0.0000, 0.0000, 0.0000) (multiplicity 2)
Fe (0.2177, 0.0555, 0.7230) (multiplicity 4)
Rh (0.5000, 0.0000, 0.5000) (multiplicity 2)
O (0.1128, 0.1711, 0.4557) (multiplicity 4)
O (0.2111, 0.6820, 0.3980) (multiplicity 4)
O (0.3961, 0.0845, 0.2509) (multiplicity 4)